The following is a theoretical X-ray powder pattern of TlCrF4. It was derived from a PBE+U-relaxed structure, using copper Kα.
Neutral-atom scattering factors, no anomalous dispersion.

Largest 8 diffraction maxima, low angle first, 2θ = 15–90°:
3.323 Å, 2θ = 26.83°, I = 1000, hkl 1 1 1; 3.272 Å, 2θ = 27.26°, I = 242, hkl 0 2 0; 2.713 Å, 2θ = 33.01°, I = 156, hkl 2 0 0; 2.495 Å, 2θ = 35.99°, I = 242, hkl 1 2 1; 1.929 Å, 2θ = 47.11°, I = 174, hkl 2 0 2; 1.899 Å, 2θ = 47.91°, I = 256, hkl 1 3 1; 1.675 Å, 2θ = 54.81°, I = 145, hkl 1 1 3; 1.662 Å, 2θ = 55.29°, I = 285, hkl 2 2 2

Structure:
Cell lengths 5.4267, 6.5430, 5.4855 Å; angles 90.00, 90.00, 90.00 degrees
Space group Pmn2_1 (No. 31)
Unique sites:
Tl: 0.0000 0.0016 0.0000
Cr: 0.0000 0.4999 0.5011
F: 0.0000 0.2140 0.4274
F: 0.0000 0.7858 0.5753
F: 0.2500 0.4391 0.7511